# 1
Starting from a DFT-relaxed cell (GGA-PBE, Alexandria), the powder X-ray diffraction pattern of Ag5Sn2S6 was computed for CuKα.
Intensities are scaled so that the largest is 100.

Cell and atoms:
Lattice parameters (Å, degrees): 14.9364 6.4334 12.8477 90.00 90.61 90.00
Space group C2/c (No. 15)
Unique sites:
Ag  0.0000  0.2158  0.2500 x4
Ag  0.0076  0.2324  0.4981 x8
Ag  0.1056  0.4132  0.8222 x8
Sn  0.2478  0.4403  0.5910 x8
S  0.0817  0.4968  0.1256 x8
S  0.0900  0.0227  0.8673 x8
S  0.2467  0.0462  0.6059 x8

Peak list (12 most intense, 2θ = 5–70°, low angle first)
hkl 1 1 2, 2θ = 20.46°, rel. 23.7; hkl 3 1 1, 2θ = 23.69°, rel. 29.2; hkl 4 0 0, 2θ = 23.83°, rel. 26.3; hkl 4 0 2, 2θ = 27.76°, rel. 30.0; hkl 2 0 -4, 2θ = 30.21°, rel. 100.0; hkl 1 1 4, 2θ = 31.77°, rel. 21.4; hkl 5 1 -1, 2θ = 33.74°, rel. 21.3; hkl 2 2 -3, 2θ = 36.89°, rel. 24.2; hkl 0 2 4, 2θ = 39.66°, rel. 41.6; hkl 6 2 0, 2θ = 46.11°, rel. 36.6; hkl 6 0 4, 2θ = 46.39°, rel. 23.2; hkl 3 3 -1, 2θ = 46.64°, rel. 26.4



# 2
Starting from a DFT-relaxed cell (GGA-PBE, Alexandria), the powder X-ray diffraction pattern of Cs2Rb9Au3 was computed for CuKα.
Intensities are scaled so that the largest is 100.

Cell and atoms:
Lattice parameters (Å, degrees): 25.8043 11.7204 14.9022 90.00 122.68 90.00
Space group C2/c (No. 15)
Unique sites:
Cs  0.2416  0.1725  0.2296 x8
Rb  0.0000  0.4126  0.2500 x4
Rb  0.0617  0.3493  0.0362 x8
Rb  0.0830  0.0876  0.4476 x8
Rb  0.1024  0.2023  0.7650 x8
Rb  0.1998  0.4603  0.4609 x8
Au  0.0967  0.3608  0.5448 x8
Au  0.2500  0.2500  0.0000 x4

Peak list (12 most intense, 2θ = 5–70°, low angle first)
hkl 1 1 0, 2θ = 8.57°, rel. 54.6; hkl 3 1 -1, 2θ = 12.77°, rel. 100.0; hkl 0 0 2, 2θ = 14.12°, rel. 32.3; hkl 2 2 -1, 2θ = 16.83°, rel. 38.5; hkl 1 3 -1, 2θ = 23.54°, rel. 44.1; hkl 4 0 -4, 2θ = 23.94°, rel. 35.7; hkl 6 0 0, 2θ = 24.59°, rel. 49.0; hkl 7 1 -2, 2θ = 25.32°, rel. 37.4; hkl 6 0 -4, 2θ = 25.64°, rel. 45.6; hkl 1 3 -2, 2θ = 25.99°, rel. 32.2; hkl 5 1 1, 2θ = 26.20°, rel. 36.9; hkl 0 0 4, 2θ = 28.47°, rel. 44.0



# 3
Starting from a DFT-relaxed cell (GGA-PBE, Alexandria), the powder X-ray diffraction pattern of NpZnMo was computed for CuKα.
Intensities are scaled so that the largest is 100.

Cell and atoms:
Lattice parameters (Å, degrees): 8.1851 3.3775 8.8102 90.00 112.83 90.00
Space group C2/m (No. 12)
Unique sites:
Np  0.2263  0.0000  0.0919 x4
Zn  0.1752  0.0000  0.5805 x4
Mo  0.0407  0.0000  0.2409 x4

Peak list (12 most intense, 2θ = 5–70°, low angle first)
hkl 0 0 1, 2θ = 10.90°, rel. 100.0; hkl 2 0 0, 2θ = 23.59°, rel. 30.6; hkl 1 1 0, 2θ = 28.97°, rel. 31.8; hkl 1 1 -1, 2θ = 29.31°, rel. 17.8; hkl 2 0 1, 2θ = 29.74°, rel. 22.3; hkl 1 1 -2, 2θ = 33.60°, rel. 33.5; hkl 2 0 2, 2θ = 38.36°, rel. 28.0; hkl 1 1 2, 2θ = 39.41°, rel. 57.5; hkl 2 0 -4, 2θ = 41.54°, rel. 26.7; hkl 3 1 -2, 2θ = 43.44°, rel. 46.9; hkl 3 1 -3, 2θ = 47.07°, rel. 20.7; hkl 1 1 -4, 2θ = 49.71°, rel. 20.6